Entry 1:
Theoretical powder diffraction line list
Compound: NaAg2AsCl6
Radiation: CuKα
Structure: a structure optimized by DFT (GGA-PBE)
No peak broadening, texture or thermal motion is included.

Largest 8 diffraction maxima, low angle first, 2θ = 10–90°:
- 14.16 deg, intensity 100
- 17.59 deg, intensity 66
- 24.08 deg, intensity 62
- 25.77 deg, intensity 64
- 29.41 deg, intensity 51
- 29.59 deg, intensity 58
- 29.66 deg, intensity 51
- 45.50 deg, intensity 48

Cell and atoms:
Cell: 6.887 6.903 7.398 Å, 90.07 117.59 119.73°
Sites, in units of the cell vectors:
Na1 0.000 0.000 0.000
Ag1 0.485 0.242 0.724
Ag2 0.618 0.808 0.427
As1 0.973 0.485 0.459
Cl1 0.113 0.244 0.711
Cl2 0.115 0.411 0.240
Cl3 0.470 0.869 0.708
Cl4 0.540 0.128 0.244
Cl5 0.828 0.705 0.241
Cl6 0.847 0.601 0.714

---

Entry 2:
Theoretical powder diffraction line list
Compound: AgAsClO2
Radiation: CuKα
Structure: a structure optimized by DFT (GGA-PBE)
No peak broadening, texture or thermal motion is included.

Largest 8 diffraction maxima, low angle first, 2θ = 10–90°:
- 12.43 deg, intensity 39
- 13.90 deg, intensity 75
- 25.01 deg, intensity 45
- 27.05 deg, intensity 86
- 29.61 deg, intensity 100
- 32.10 deg, intensity 44
- 33.18 deg, intensity 96
- 36.61 deg, intensity 37

Cell and atoms:
Cell: 6.896 3.853 7.710 Å, 90.00 112.52 90.00°
Sites, in units of the cell vectors:
Ag1 0.219 0.250 0.473
Ag2 0.781 0.750 0.527
As1 0.120 0.250 0.916
As2 0.880 0.750 0.084
Cl1 0.414 0.750 0.680
Cl2 0.586 0.250 0.320
O1 0.048 0.750 0.939
O2 0.062 0.750 0.325
O3 0.938 0.250 0.675
O4 0.952 0.250 0.061

---

Entry 3:
Theoretical powder diffraction line list
Compound: AgAsP2Cl
Radiation: CuKα
Structure: a structure optimized by DFT (GGA-PBE)
No peak broadening, texture or thermal motion is included.

Largest 8 diffraction maxima, low angle first, 2θ = 10–90°:
- 25.64 deg, intensity 100
- 26.42 deg, intensity 53
- 31.86 deg, intensity 43
- 35.42 deg, intensity 38
- 37.71 deg, intensity 63
- 44.72 deg, intensity 25
- 46.16 deg, intensity 41
- 52.69 deg, intensity 45

Cell and atoms:
Cell: 4.771 4.771 5.069 Å, 90.00 90.00 90.00°
Sites, in units of the cell vectors:
Ag1 0.000 0.000 0.000
As1 0.500 0.500 0.500
P1 0.000 0.500 0.500
P2 0.500 0.000 0.500
Cl1 0.500 0.500 0.000

---

Entry 4:
Theoretical powder diffraction line list
Compound: Cs2AgAs
Radiation: CuKα
Structure: a structure optimized by DFT (GGA-PBE)
No peak broadening, texture or thermal motion is included.

Largest 8 diffraction maxima, low angle first, 2θ = 10–90°:
- 22.97 deg, intensity 51
- 27.84 deg, intensity 100
- 28.10 deg, intensity 21
- 30.37 deg, intensity 25
- 34.48 deg, intensity 16
- 37.00 deg, intensity 18
- 46.90 deg, intensity 30
- 46.99 deg, intensity 16

Cell and atoms:
Cell: 12.102 6.410 4.859 Å, 90.00 113.52 90.00°
Sites, in units of the cell vectors:
Cs1 0.181 0.000 0.181
Cs2 0.319 0.500 0.819
Cs3 0.681 0.500 0.181
Cs4 0.819 0.000 0.819
Ag1 0.000 0.598 0.500
Ag2 0.500 0.098 0.500
As1 0.000 0.492 0.000
As2 0.500 0.992 0.000

---

Entry 5:
Theoretical powder diffraction line list
Compound: Cs2MgAgAs2
Radiation: CuKα
Structure: a structure optimized by DFT (GGA-PBE)
No peak broadening, texture or thermal motion is included.

Largest 8 diffraction maxima, low angle first, 2θ = 10–90°:
- 27.77 deg, intensity 100
- 33.71 deg, intensity 28
- 33.94 deg, intensity 22
- 38.40 deg, intensity 46
- 45.44 deg, intensity 20
- 47.87 deg, intensity 22
- 48.22 deg, intensity 21
- 49.73 deg, intensity 19

Cell and atoms:
Cell: 9.992 9.992 9.992 Å, 141.46 55.97 141.03°
Sites, in units of the cell vectors:
Cs1 0.169 0.237 0.406
Cs2 0.331 0.737 0.067
Cs3 0.669 0.263 0.933
Cs4 0.831 0.763 0.594
Mg1 0.250 0.750 0.500
Mg2 0.750 0.250 0.500
Ag1 0.250 0.250 0.000
Ag2 0.750 0.750 0.000
As1 0.082 0.744 0.826
As2 0.418 0.244 0.663
As3 0.582 0.756 0.337
As4 0.918 0.256 0.174